Record 1
HoPa2SbN5: calculated powder diffractogram (a wavelength of 1.5418 Å), based on a cell relaxed with GGA-PBE.

```
data_HoPa2SbN5
_chemical_formula_sum 'Ho4 Pa8 Sb4 N20'
_space_group_name_H-M_alt 'C m c 21'
_space_group_IT_number 36
_space_group_name_Hall 'C 2c -2'
_cell_length_a 3.602
_cell_length_b 14.699
_cell_length_c 11.752
_cell_angle_alpha 90.00
_cell_angle_beta 90.00
_cell_angle_gamma 90.00
loop_
_atom_site_label
_atom_site_type_symbol
_atom_site_fract_x
_atom_site_fract_y
_atom_site_fract_z
_atom_site_occupancy
Ho1 Ho 0.000 0.242 0.000 1
Pa1 Pa 0.000 0.141 0.730 1
Pa2 Pa 0.000 0.142 0.270 1
Sb1 Sb 0.000 0.477 0.000 1
N1 N 0.000 0.000 0.249 1
N2 N 0.000 0.290 0.350 1
N3 N 0.000 0.290 0.650 1
N4 N 0.000 0.369 0.115 1
N5 N 0.000 0.369 0.885 1
```

Largest 10 diffraction maxima, by angle, 2θ from 10° to 90°:
Position (°2θ), Rel. int.
12.04, 21
28.65, 100
29.72, 72
30.43, 44
30.81, 47
34.40, 48
43.85, 40
52.81, 31
56.24, 23
59.27, 34

=====

Record 2
HoPaTeN2: calculated powder diffractogram (a wavelength of 1.5418 Å), based on a cell relaxed with GGA-PBE.

```
data_HoPaTeN2
_chemical_formula_sum 'Ho2 Pa2 Te2 N4'
_space_group_name_H-M_alt 'I 4 m m'
_space_group_IT_number 107
_space_group_name_Hall 'I 4 -2'
_cell_length_a 3.977
_cell_length_b 3.977
_cell_length_c 12.510
_cell_angle_alpha 90.00
_cell_angle_beta 90.00
_cell_angle_gamma 90.00
loop_
_atom_site_label
_atom_site_type_symbol
_atom_site_fract_x
_atom_site_fract_y
_atom_site_fract_z
_atom_site_occupancy
Ho1 Ho 0.000 0.000 0.000 1
Pa1 Pa 0.000 0.000 0.332 1
Te1 Te 0.000 0.000 0.664 1
N1 N 0.000 0.500 0.407 1
```

Largest 10 diffraction maxima, by angle, 2θ from 10° to 90°:
Position (°2θ), Rel. int.
31.07, 100
31.82, 42
43.40, 9
45.62, 19
54.81, 22
56.22, 38
64.79, 12
71.96, 9
75.20, 8
89.48, 11

=====

Record 3
PmPrHoN3: calculated powder diffractogram (a wavelength of 1.5418 Å), based on a cell relaxed with GGA-PBE.

```
data_PmPrHoN3
_chemical_formula_sum 'Pm2 Pr2 Ho2 N6'
_space_group_name_H-M_alt 'P 1 21/m 1'
_space_group_IT_number 11
_space_group_name_Hall '-P 2yb'
_cell_length_a 6.139
_cell_length_b 3.571
_cell_length_c 9.225
_cell_angle_alpha 90.00
_cell_angle_beta 101.79
_cell_angle_gamma 90.00
loop_
_atom_site_label
_atom_site_type_symbol
_atom_site_fract_x
_atom_site_fract_y
_atom_site_fract_z
_atom_site_occupancy
Pm1 Pm 0.231 0.250 0.453 1
Pr1 Pr 0.349 0.750 0.805 1
Ho1 Ho 0.147 0.750 0.138 1
N1 N 0.037 0.250 0.659 1
N2 N 0.242 0.250 0.012 1
N3 N 0.459 0.750 0.325 1
```

Largest 10 diffraction maxima, by angle, 2θ from 10° to 90°:
Position (°2θ), Rel. int.
29.35, 38
29.70, 64
30.37, 17
31.75, 100
33.54, 90
39.27, 20
51.16, 20
52.73, 30
60.03, 23
60.27, 22

=====

Record 4
Pm2HoTe2N2: calculated powder diffractogram (a wavelength of 1.5418 Å), based on a cell relaxed with GGA-PBE.

```
data_Pm2HoTe2N2
_chemical_formula_sum 'Pm4 Ho2 Te4 N4'
_space_group_name_H-M_alt 'I 4/m m m'
_space_group_IT_number 139
_space_group_name_Hall '-I 4 2'
_cell_length_a 4.404
_cell_length_b 4.404
_cell_length_c 16.316
_cell_angle_alpha 90.00
_cell_angle_beta 90.00
_cell_angle_gamma 90.00
loop_
_atom_site_label
_atom_site_type_symbol
_atom_site_fract_x
_atom_site_fract_y
_atom_site_fract_z
_atom_site_occupancy
Pm1 Pm 0.000 0.000 0.103 1
Ho1 Ho 0.000 0.000 0.500 1
Te1 Te 0.000 0.000 0.314 1
N1 N 0.000 0.500 0.000 1
```

Largest 10 diffraction maxima, by angle, 2θ from 10° to 90°:
Position (°2θ), Rel. int.
28.66, 78
34.20, 100
40.98, 35
54.41, 53
59.35, 12
64.47, 12
67.22, 14
70.31, 12
72.04, 10
84.73, 15

=====

Record 5
HoPu2N3: calculated powder diffractogram (a wavelength of 1.5418 Å), based on a cell relaxed with GGA-PBE.

```
data_HoPu2N3
_chemical_formula_sum 'Ho2 Pu4 N6'
_space_group_name_H-M_alt 'I m m m'
_space_group_IT_number 71
_space_group_name_Hall '-I 2 2'
_cell_length_a 3.472
_cell_length_b 4.916
_cell_length_c 10.403
_cell_angle_alpha 90.00
_cell_angle_beta 90.00
_cell_angle_gamma 90.00
loop_
_atom_site_label
_atom_site_type_symbol
_atom_site_fract_x
_atom_site_fract_y
_atom_site_fract_z
_atom_site_occupancy
Ho1 Ho 0.000 0.000 0.000 1
Pu1 Pu 0.000 0.000 0.334 1
N1 N 0.000 0.500 0.000 1
N2 N 0.000 0.500 0.330 1
```

Largest 10 diffraction maxima, by angle, 2θ from 10° to 90°:
Position (°2θ), Rel. int.
31.56, 100
36.60, 66
52.73, 47
62.73, 30
62.82, 15
65.90, 16
77.86, 5
86.35, 17
89.10, 7
89.22, 11

=====

Record 6
HoPuTiN3: calculated powder diffractogram (a wavelength of 1.5418 Å), based on a cell relaxed with GGA-PBE.

```
data_HoPuTiN3
_chemical_formula_sum 'Ho2 Pu2 Ti2 N6'
_space_group_name_H-M_alt 'P 1 21/m 1'
_space_group_IT_number 11
_space_group_name_Hall '-P 2yb'
_cell_length_a 7.031
_cell_length_b 3.497
_cell_length_c 7.813
_cell_angle_alpha 90.00
_cell_angle_beta 95.20
_cell_angle_gamma 90.00
loop_
_atom_site_label
_atom_site_type_symbol
_atom_site_fract_x
_atom_site_fract_y
_atom_site_fract_z
_atom_site_occupancy
Ho1 Ho 0.151 0.250 0.145 1
Pu1 Pu 0.379 0.750 0.828 1
Ti1 Ti 0.103 0.250 0.602 1
N1 N 0.094 0.250 0.853 1
N2 N 0.169 0.750 0.514 1
N3 N 0.394 0.750 0.121 1
```

Largest 10 diffraction maxima, by angle, 2θ from 10° to 90°:
Position (°2θ), Rel. int.
11.37, 95
26.96, 28
27.97, 64
28.90, 33
32.83, 35
34.52, 100
36.04, 29
36.31, 81
52.29, 29
52.74, 23